# ZnHg3S2Cl4
Calculated powder X-ray diffraction pattern, Cu Kα (λ = 1.5418 Å). Input: the PBE geometry in Alexandria.
Lines closer than 0.1° are merged.

Structural model:
```
data_ZnHg3S2Cl4
_chemical_formula_sum 'Zn2 Hg6 S4 Cl8'
_space_group_name_H-M_alt 'P 1'
_space_group_IT_number 1
_space_group_name_Hall 'P 1'
_cell_length_a 7.0173
_cell_length_b 7.0173
_cell_length_c 14.0276
_cell_angle_alpha 90.00
_cell_angle_beta 90.00
_cell_angle_gamma 116.56
loop_
_atom_site_label
_atom_site_type_symbol
_atom_site_fract_x
_atom_site_fract_y
_atom_site_fract_z
Zn1 Zn 0.0055 0.9945 0.5000
Zn2 Zn 0.9945 0.0055 0.0000
Hg1 Hg 0.0069 0.5376 0.8624
Hg2 Hg 0.4624 0.9931 0.8624
Hg3 Hg 0.4713 0.5287 0.7123
Hg4 Hg 0.5287 0.4713 0.2123
Hg5 Hg 0.5376 0.0069 0.3624
Hg6 Hg 0.9931 0.4624 0.3624
S1 S 0.0764 0.9236 0.8514
S2 S 0.4000 0.6000 0.8724
S3 S 0.6000 0.4000 0.3724
S4 S 0.9236 0.0764 0.3514
Cl1 Cl 0.2017 0.7983 0.4873
Cl2 Cl 0.2028 0.3078 0.5804
Cl3 Cl 0.2913 0.7087 0.2396
Cl4 Cl 0.3078 0.2028 0.0804
Cl5 Cl 0.6922 0.7972 0.5804
Cl6 Cl 0.7087 0.2913 0.7396
Cl7 Cl 0.7972 0.6922 0.0804
Cl8 Cl 0.7983 0.2017 0.9873
```

The 10 most intense peaks (2θ = 5–70°), low angle first:
| 2theta | d [Å] | I (rel.) |
| --- | --- | --- |
| 12.62 | 7.014 | 61.1 |
| 18.97 | 4.677 | 67.6 |
| 19.53 | 4.546 | 100.0 |
| 28.45 | 3.138 | 60.9 |
| 29.54 | 3.024 | 35.4 |
| 29.94 | 2.985 | 26.7 |
| 31.22 | 2.865 | 44.5 |
| 35.31 | 2.542 | 46.4 |
| 46.95 | 1.935 | 33.8 |
| 48.56 | 1.875 | 29.2 |